# NaOsSe2
Simulated powder diffraction line list, Cu Ka. Input: a DFT-relaxed cell (GGA-PBE, the Materials Project).

Top 12 peaks for 2θ from 15° to 90°, by angle:
d_spacing	2theta	intensity	hkl
3.822	23.3	25.1	1 1 1
3.310	26.9	24.2	2 0 0
2.341	38.5	100.0	2 2 0
1.996	45.4	13.4	3 1 1
1.911	47.6	7.1	2 2 2
1.655	55.5	17.1	4 0 0
1.519	61.0	5.8	3 3 1
1.480	62.8	9.6	4 2 0
1.351	69.6	34.6	4 2 2
1.170	82.4	11.0	4 4 0
1.119	87.1	4.6	5 3 1
1.103	88.6	5.0	6 0 0

Crystal structure
Cell: 6.6205 6.6205 6.6205 Å, 90.00 90.00 90.00°
Fractional positions:
Na 0.0000 0.0000 0.0000
Na 0.0000 0.5000 0.5000
Na 0.5000 0.0000 0.5000
Na 0.5000 0.5000 0.0000
Os 0.2500 0.2500 0.2500
Os 0.2500 0.7500 0.7500
Os 0.7500 0.2500 0.7500
Os 0.7500 0.7500 0.2500
Se 0.0000 0.0000 0.5000
Se 0.0000 0.5000 0.0000
Se 0.2500 0.2500 0.7500
Se 0.2500 0.7500 0.2500
Se 0.5000 0.0000 0.0000
Se 0.5000 0.5000 0.5000
Se 0.7500 0.2500 0.2500
Se 0.7500 0.7500 0.7500

# Na3P
Simulated powder diffraction line list, Cu Ka. Input: a DFT-relaxed cell (GGA-PBE, the Materials Project).

Top 12 peaks for 2θ from 15° to 90°, by angle:
d_spacing	2theta	intensity	hkl
4.427	20.1	13.5	0 0 2
4.305	20.6	10.6	1 0 0
3.086	28.9	16.7	1 0 2
2.486	36.1	100.0	1 1 0
2.434	36.9	81.9	1 0 3
2.167	41.7	9.7	1 1 2
1.739	52.6	27.2	2 0 3
1.435	65.0	15.4	3 0 0
1.425	65.5	26.4	2 1 3
1.269	74.8	19.2	1 1 6
1.243	76.7	9.0	2 2 0
1.107	88.3	10.9	3 1 3

Crystal structure
Cell: 4.9712 4.9712 8.8532 Å, 90.00 90.00 120.00°
Fractional positions:
Na 0.0000 0.0000 0.2500
Na 0.0000 0.0000 0.7500
Na 0.3333 0.6667 0.0796
Na 0.3333 0.6667 0.4204
Na 0.6667 0.3333 0.5796
Na 0.6667 0.3333 0.9204
P 0.3333 0.6667 0.7500
P 0.6667 0.3333 0.2500